This entry pairs a crystal structure of Si7Tc with its computed XRD peak list. Radiation: Cu Kα, 1.54184 Å. Structure: the GGA-PBE geometry in Alexandria.

The 6 most intense peaks (2θ = 15–90°), in order of rising 2θ:
2theta, I (rel.)
20.2, 36
39.3, 20
41.1, 100
47.8, 48
70.0, 30
84.5, 37

Structure:
a b c (Å): 5.3785 5.3785 5.3785
angles (deg): 60.00 60.00 60.00
Positions (direct):
Si 0.0000 0.0000 0.0000
Si 0.0000 0.0000 0.5000
Si 0.0000 0.5000 0.0000
Si 0.0000 0.5000 0.5000
Si 0.5000 0.0000 0.0000
Si 0.5000 0.0000 0.5000
Si 0.5000 0.5000 0.0000
Tc 0.5000 0.5000 0.5000

---

This entry pairs a crystal structure of SiTc5 with its computed XRD peak list. Radiation: Cu Kα, 1.54184 Å. Structure: the GGA-PBE geometry in Alexandria.

The 6 most intense peaks (2θ = 15–90°), in order of rising 2θ:
2theta, I (rel.)
40.7, 46
41.2, 55
41.7, 100
43.7, 88
74.0, 17
78.2, 20

Structure:
a b c (Å): 4.9901 4.9901 6.5588
angles (deg): 109.86 109.86 33.63
Positions (direct):
Si 0.0000 0.0000 0.0000
Tc 0.0000 0.0000 0.5000
Tc 0.3270 0.3270 0.6831
Tc 0.3509 0.3509 0.1507
Tc 0.6491 0.6491 0.8493
Tc 0.6730 0.6730 0.3169

---

This entry pairs a crystal structure of SiTc4 with its computed XRD peak list. Radiation: Cu Kα, 1.54184 Å. Structure: the GGA-PBE geometry in Alexandria.

The 6 most intense peaks (2θ = 15–90°), in order of rising 2θ:
2theta, I (rel.)
39.1, 26
42.3, 100
59.0, 14
73.1, 16
77.4, 7
77.5, 10

Structure:
a b c (Å): 10.9099 10.7633 2.7278
angles (deg): 85.84 79.72 14.44
Positions (direct):
Si 0.0000 0.0000 0.0000
Tc 0.1978 0.1978 0.8022
Tc 0.4078 0.4078 0.5922
Tc 0.5922 0.5922 0.4078
Tc 0.8022 0.8022 0.1978